No. 1
Calculated PXRD pattern of Ga11NO15 for λ = 1.5418 Å (Cu Kα), from DFT lattice parameters and positions (PBE).

Crystal structure
a = 5.871 Å, b = 5.961 Å, c = 8.303 Å
α = 89.86°, β = 88.41°, γ = 89.77°
Atoms (fractional coordinates):
Ga 0.000 0.000 0.000
Ga 0.000 0.489 0.990
Ga 0.226 0.750 0.254
Ga 0.464 0.487 0.517
Ga 0.464 0.999 0.518
Ga 0.476 0.248 0.133
Ga 0.500 0.739 0.870
Ga 0.733 0.241 0.754
Ga 0.738 0.750 0.254
Ga 0.962 0.744 0.639
Ga 0.987 0.229 0.368
N 0.982 0.968 0.239
O 0.218 0.248 0.012
O 0.229 0.737 0.004
O 0.239 0.743 0.504
O 0.252 0.244 0.490
O 0.481 0.519 0.264
O 0.482 0.978 0.263
O 0.500 0.483 0.744
O 0.500 0.998 0.746
O 0.708 0.741 0.495
O 0.716 0.242 0.509
O 0.745 0.246 0.998
O 0.749 0.733 0.012
O 0.964 0.998 0.768
O 0.965 0.485 0.761
O 0.982 0.504 0.244

Largest 6 diffraction maxima, sorted by position, 15° ≤ 2θ ≤ 90°:
two_theta	I (rel.)	h k l
30.65	47	-1 1 2
35.26	38	1 2 1
35.45	100	1 -2 1
35.59	56	1 2 -1
36.05	45	-2 1 1
62.30	44	2 2 4


No. 2
Calculated PXRD pattern of Ga3NO3 for λ = 1.5418 Å (Cu Kα), from DFT lattice parameters and positions (PBE).

Crystal structure
a = 8.128 Å, b = 6.410 Å, c = 8.230 Å
α = 90.00°, β = 119.30°, γ = 90.00°
Atoms (fractional coordinates):
Ga 0.000 0.000 0.000
Ga 0.007 0.500 0.012
Ga 0.169 0.242 0.768
Ga 0.169 0.758 0.768
Ga 0.245 0.257 0.413
Ga 0.245 0.743 0.413
Ga 0.576 0.000 0.952
Ga 0.585 0.500 0.946
Ga 0.640 0.500 0.575
Ga 0.652 0.000 0.583
Ga 0.810 0.250 0.332
Ga 0.810 0.750 0.332
N 0.106 0.000 0.846
N 0.382 0.500 0.470
N 0.742 0.000 0.204
N 0.744 0.500 0.202
O 0.077 0.248 0.146
O 0.077 0.249 0.509
O 0.077 0.751 0.509
O 0.077 0.752 0.146
O 0.117 0.500 0.852
O 0.381 0.000 0.466
O 0.436 0.252 0.854
O 0.436 0.748 0.854
O 0.727 0.249 0.520
O 0.727 0.751 0.520
O 0.734 0.000 0.839
O 0.750 0.500 0.840

Largest 6 diffraction maxima, sorted by position, 15° ≤ 2θ ≤ 90°:
two_theta	I (rel.)	h k l
25.24	25	2 0 -2
30.60	100	1 2 0
33.18	83	2 0 1
33.70	41	3 0 -2
37.63	28	0 2 2
37.89	48	2 2 0


No. 3
Calculated PXRD pattern of Ga3NO3 for λ = 1.5418 Å (Cu Kα), from DFT lattice parameters and positions (PBE).

Crystal structure
a = 8.094 Å, b = 6.397 Å, c = 8.163 Å
α = 90.00°, β = 118.95°, γ = 90.00°
Atoms (fractional coordinates):
Ga 0.000 0.000 0.000
Ga 0.001 0.500 0.000
Ga 0.083 0.500 0.633
Ga 0.084 0.000 0.640
Ga 0.244 0.251 0.383
Ga 0.244 0.749 0.383
Ga 0.419 0.500 0.074
Ga 0.434 0.000 0.069
Ga 0.587 0.244 0.824
Ga 0.587 0.756 0.824
Ga 0.683 0.243 0.479
Ga 0.683 0.757 0.479
N 0.170 0.000 0.255
N 0.187 0.500 0.248
N 0.526 0.000 0.901
N 0.822 0.000 0.535
O 0.163 0.252 0.573
O 0.163 0.748 0.573
O 0.164 0.500 0.889
O 0.170 0.000 0.901
O 0.508 0.257 0.566
O 0.508 0.743 0.566
O 0.510 0.254 0.210
O 0.510 0.746 0.210
O 0.533 0.500 0.911
O 0.816 0.500 0.525
O 0.855 0.255 0.910
O 0.855 0.745 0.910

Largest 6 diffraction maxima, sorted by position, 15° ≤ 2θ ≤ 90°:
two_theta	I (rel.)	h k l
30.65	100	1 2 0
30.73	48	1 2 -1
33.23	69	2 0 1
33.40	64	1 0 -3
33.90	65	3 0 -2
37.75	40	0 2 2